(1)
Tm3As2PRh9: computed powder diffraction line list (Cu Kα (λ = 1.5418 Å)), based on DFT lattice parameters and positions (PBE).
Peak positions follow from Bragg's law for the DFT cell and can differ from measured ones.

Structural model:
Cell lengths 6.5943, 6.5943, 7.4612 Å; angles 90.00, 90.00, 120.00 degrees
Fractional positions:
Tm: 0.0000 0.0000 0.0000
Tm: 0.3333 0.6667 0.7001
Tm: 0.6667 0.3333 0.2999
As: 0.3333 0.6667 0.2037
As: 0.6667 0.3333 0.7962
P: 0.0000 0.0000 0.5000
Rh: 0.0000 0.5000 0.0000
Rh: 0.1432 0.2864 0.2985
Rh: 0.1432 0.8568 0.2985
Rh: 0.2864 0.1432 0.7015
Rh: 0.5000 0.0000 0.0000
Rh: 0.5000 0.5000 0.0000
Rh: 0.7136 0.8568 0.2985
Rh: 0.8568 0.1432 0.7015
Rh: 0.8568 0.7136 0.7015

The 8 most intense peaks (2θ = 10–80°), by intensity:
2θ 39.75, intensity 100
2θ 33.61, intensity 97
2θ 55.76, intensity 34
2θ 59.16, intensity 23
2θ 36.12, intensity 23
2θ 48.77, intensity 20
2θ 27.04, intensity 20
2θ 70.65, intensity 18

***

(2)
AsPS4: computed powder diffraction line list (Cu Kα (λ = 1.5418 Å)), based on DFT lattice parameters and positions (PBE).
Peak positions follow from Bragg's law for the DFT cell and can differ from measured ones.

Structural model:
Cell lengths 9.1331, 6.8012, 5.5947 Å; angles 90.00, 90.00, 90.00 degrees
Fractional positions:
As: 0.0000 0.0949 0.0000
As: 0.5000 0.9051 0.5000
P: 0.0000 0.3697 0.4187
P: 0.5000 0.6303 0.9187
S: 0.0000 0.3934 0.7873
S: 0.0000 0.6441 0.3218
S: 0.1721 0.1938 0.2764
S: 0.3279 0.8062 0.7764
S: 0.5000 0.3559 0.8218
S: 0.5000 0.6066 0.2873
S: 0.6721 0.8062 0.7764
S: 0.8279 0.1938 0.2764

The 8 most intense peaks (2θ = 10–80°), by intensity:
2θ 16.25, intensity 100
2θ 19.44, intensity 75
2θ 22.77, intensity 73
2θ 28.44, intensity 40
2θ 30.77, intensity 30
2θ 36.09, intensity 29
2θ 18.60, intensity 29
2θ 40.06, intensity 28

***

(3)
As2P2S7: computed powder diffraction line list (Cu Kα (λ = 1.5418 Å)), based on DFT lattice parameters and positions (PBE).
Peak positions follow from Bragg's law for the DFT cell and can differ from measured ones.

Structural model:
Cell lengths 13.0433, 8.6510, 11.8640 Å; angles 90.00, 91.05, 90.00 degrees
Fractional positions:
As: 0.1704 0.0906 0.1276
As: 0.1704 0.4094 0.6276
As: 0.3267 0.5962 0.6326
As: 0.3267 0.9038 0.1326
As: 0.6733 0.0962 0.8674
As: 0.6733 0.4038 0.3674
As: 0.8296 0.5906 0.3724
As: 0.8296 0.9094 0.8724
P: 0.1654 0.6566 0.8536
P: 0.1654 0.8434 0.3536
P: 0.3337 0.1630 0.3519
P: 0.3337 0.3370 0.8519
P: 0.6663 0.6630 0.1481
P: 0.6663 0.8370 0.6481
P: 0.8346 0.1566 0.6464
P: 0.8346 0.3434 0.1464
S: 0.0640 0.5388 0.7453
S: 0.0640 0.9612 0.2453
S: 0.0943 0.7135 0.4614
S: 0.0943 0.7865 0.9614
S: 0.2330 0.2193 0.7434
S: 0.2330 0.2807 0.2434
S: 0.2499 0.0056 0.4535
S: 0.2499 0.4944 0.9535
S: 0.2652 0.7198 0.2518
S: 0.2652 0.7802 0.7518
S: 0.4053 0.2009 0.9576
S: 0.4053 0.2991 0.4576
S: 0.4341 0.0396 0.2499
S: 0.4341 0.4604 0.7499
S: 0.5659 0.5396 0.2501
S: 0.5659 0.9604 0.7501
S: 0.5947 0.7009 0.5424
S: 0.5947 0.7991 0.0424
S: 0.7348 0.2198 0.2482
S: 0.7348 0.2802 0.7482
S: 0.7501 0.5056 0.0465
S: 0.7501 0.9944 0.5465
S: 0.7670 0.7193 0.7566
S: 0.7670 0.7807 0.2566
S: 0.9057 0.2135 0.0386
S: 0.9057 0.2865 0.5386
S: 0.9360 0.0388 0.7547
S: 0.9360 0.4612 0.2547

The 8 most intense peaks (2θ = 10–80°), by intensity:
2θ 14.31, intensity 100
2θ 14.44, intensity 98
2θ 13.58, intensity 75
2θ 19.48, intensity 27
2θ 27.66, intensity 26
2θ 29.12, intensity 26
2θ 19.28, intensity 26
2θ 27.24, intensity 25

***

(4)
Tb8As3PS4: computed powder diffraction line list (Cu Kα (λ = 1.5418 Å)), based on DFT lattice parameters and positions (PBE).
Peak positions follow from Bragg's law for the DFT cell and can differ from measured ones.

Structural model:
Cell lengths 8.0319, 8.0319, 8.0319 Å; angles 60.32, 60.32, 60.32 degrees
Fractional positions:
Tb: 0.2450 0.7533 0.7533
Tb: 0.2467 0.2467 0.7550
Tb: 0.2467 0.7550 0.2467
Tb: 0.2492 0.2492 0.2492
Tb: 0.7508 0.7508 0.7508
Tb: 0.7533 0.2450 0.7533
Tb: 0.7533 0.7533 0.2450
Tb: 0.7550 0.2467 0.2467
As: 0.0000 0.5000 0.5000
As: 0.5000 0.0000 0.5000
As: 0.5000 0.5000 0.0000
P: 0.0000 0.0000 0.0000
S: 0.0000 0.0000 0.5000
S: 0.0000 0.5000 0.0000
S: 0.5000 0.0000 0.0000
S: 0.5000 0.5000 0.5000

The 8 most intense peaks (2θ = 10–80°), by intensity:
2θ 31.43, intensity 100
2θ 27.09, intensity 39
2θ 44.93, intensity 37
2θ 45.16, intensity 36
2θ 55.85, intensity 19
2θ 74.37, intensity 16
2θ 74.71, intensity 16
2θ 27.26, intensity 13

***

(5)
ScAs2P: computed powder diffraction line list (Cu Kα (λ = 1.5418 Å)), based on DFT lattice parameters and positions (PBE).
Peak positions follow from Bragg's law for the DFT cell and can differ from measured ones.

Structural model:
Cell lengths 3.9935, 3.7250, 5.5783 Å; angles 90.00, 93.14, 90.00 degrees
Fractional positions:
Sc: 0.0000 0.0000 0.0000
As: 0.4910 0.5000 0.0234
As: 0.9550 0.0000 0.5146
P: 0.3464 0.5000 0.5980

The 8 most intense peaks (2θ = 10–80°), by intensity:
2θ 32.90, intensity 100
2θ 32.14, intensity 51
2θ 47.58, intensity 40
2θ 45.73, intensity 29
2θ 28.83, intensity 20
2θ 26.77, intensity 19
2θ 48.90, intensity 17
2θ 59.73, intensity 16

***

(6)
Sc6AsP5: computed powder diffraction line list (Cu Kα (λ = 1.5418 Å)), based on DFT lattice parameters and positions (PBE).
Peak positions follow from Bragg's law for the DFT cell and can differ from measured ones.

Structural model:
Cell lengths 6.5429, 6.5429, 6.5395 Å; angles 99.60, 99.60, 119.99 degrees
Fractional positions:
Sc: 0.0769 0.4156 0.7469
Sc: 0.2453 0.2453 0.2522
Sc: 0.4156 0.0769 0.7469
Sc: 0.5844 0.9231 0.2531
Sc: 0.7547 0.7547 0.7478
Sc: 0.9231 0.5844 0.2531
As: 0.5000 0.5000 0.0000
P: 0.0000 0.0000 0.5000
P: 0.1668 0.8332 0.0000
P: 0.3347 0.6653 0.5000
P: 0.6653 0.3347 0.5000
P: 0.8332 0.1668 0.0000

The 8 most intense peaks (2θ = 10–80°), by intensity:
2θ 33.56, intensity 100
2θ 48.19, intensity 66
2θ 60.00, intensity 22
2θ 70.52, intensity 10
2θ 16.36, intensity 2
2θ 18.36, intensity 2
2θ 21.30, intensity 2
2θ 14.37, intensity 2

***

(7)
Sc2AsP2: computed powder diffraction line list (Cu Kα (λ = 1.5418 Å)), based on DFT lattice parameters and positions (PBE).
Peak positions follow from Bragg's law for the DFT cell and can differ from measured ones.

Structural model:
Cell lengths 7.5374, 7.5374, 7.5374 Å; angles 152.95, 152.95, 38.63 degrees
Fractional positions:
Sc: 0.1078 0.1078 0.0000
Sc: 0.8922 0.8922 0.0000
As: 0.5000 0.5000 0.0000
P: 0.2500 0.7500 0.5000
P: 0.7500 0.2500 0.5000

The 8 most intense peaks (2θ = 10–80°), by intensity:
2θ 38.25, intensity 100
2θ 31.62, intensity 95
2θ 40.75, intensity 90
2θ 51.88, intensity 50
2θ 67.97, intensity 36
2θ 36.02, intensity 27
2θ 62.03, intensity 25
2θ 77.20, intensity 22

***

(8)
Sc8Te3As3P: computed powder diffraction line list (Cu Kα (λ = 1.5418 Å)), based on DFT lattice parameters and positions (PBE).
Peak positions follow from Bragg's law for the DFT cell and can differ from measured ones.

Structural model:
Cell lengths 8.0541, 8.0541, 8.0541 Å; angles 58.43, 58.43, 58.43 degrees
Fractional positions:
Sc: 0.2368 0.2368 0.2368
Sc: 0.2475 0.7321 0.7321
Sc: 0.2679 0.2679 0.7525
Sc: 0.2679 0.7525 0.2679
Sc: 0.7321 0.2475 0.7321
Sc: 0.7321 0.7321 0.2475
Sc: 0.7525 0.2679 0.2679
Sc: 0.7632 0.7632 0.7632
Te: 0.0000 0.5000 0.5000
Te: 0.5000 0.0000 0.5000
Te: 0.5000 0.5000 0.0000
As: 0.0000 0.0000 0.5000
As: 0.0000 0.5000 0.0000
As: 0.5000 0.0000 0.0000
P: 0.5000 0.5000 0.5000

The 8 most intense peaks (2θ = 10–80°), by intensity:
2θ 31.82, intensity 100
2θ 46.18, intensity 35
2θ 45.05, intensity 33
2θ 57.17, intensity 17
2θ 15.76, intensity 16
2θ 76.44, intensity 15
2θ 27.68, intensity 12
2θ 74.77, intensity 12

***

(9)
Sc6TeAs2P3: computed powder diffraction line list (Cu Kα (λ = 1.5418 Å)), based on DFT lattice parameters and positions (PBE).
Peak positions follow from Bragg's law for the DFT cell and can differ from measured ones.

Structural model:
Cell lengths 8.6382, 8.6382, 7.7673 Å; angles 103.25, 103.25, 25.75 degrees
Fractional positions:
Sc: 0.0014 0.0014 0.2244
Sc: 0.3234 0.3234 0.4165
Sc: 0.3339 0.3339 0.9120
Sc: 0.6661 0.6661 0.0880
Sc: 0.6766 0.6766 0.5835
Sc: 0.9986 0.9986 0.7756
Te: 0.5000 0.5000 0.5000
As: 0.1668 0.1668 0.8331
As: 0.8332 0.8332 0.1669
P: 0.1644 0.1644 0.3326
P: 0.5000 0.5000 0.0000
P: 0.8356 0.8356 0.6674

The 8 most intense peaks (2θ = 10–80°), by intensity:
2θ 32.78, intensity 100
2θ 47.16, intensity 34
2θ 46.97, intensity 22
2θ 27.12, intensity 15
2θ 13.96, intensity 14
2θ 58.70, intensity 11
2θ 46.78, intensity 11
2θ 78.48, intensity 9

***

(10)
AsPSe2: computed powder diffraction line list (Cu Kα (λ = 1.5418 Å)), based on DFT lattice parameters and positions (PBE).
Peak positions follow from Bragg's law for the DFT cell and can differ from measured ones.

Structural model:
Cell lengths 2.7669, 4.9883, 7.8608 Å; angles 90.00, 90.28, 90.00 degrees
Fractional positions:
As: 0.0000 0.0000 0.0000
P: 0.0022 0.5000 0.0739
Se: 0.0062 0.5000 0.3562
Se: 0.9956 0.0000 0.6959

The 8 most intense peaks (2θ = 10–80°), by intensity:
2θ 21.09, intensity 100
2θ 32.36, intensity 42
2θ 36.01, intensity 32
2θ 34.22, intensity 31
2θ 49.18, intensity 25
2θ 38.89, intensity 24
2θ 50.52, intensity 20
2θ 39.00, intensity 19

***

(11)
AsPWSe2: computed powder diffraction line list (Cu Kα (λ = 1.5418 Å)), based on DFT lattice parameters and positions (PBE).
Peak positions follow from Bragg's law for the DFT cell and can differ from measured ones.

Structural model:
Cell lengths 4.8278, 4.8278, 5.1063 Å; angles 90.00, 90.00, 90.00 degrees
Fractional positions:
As: 0.0000 0.0000 0.0000
P: 0.5000 0.5000 0.0000
W: 0.0000 0.0000 0.5000
Se: 0.0000 0.5000 0.5000
Se: 0.5000 0.0000 0.5000

The 8 most intense peaks (2θ = 10–80°), by intensity:
2θ 18.38, intensity 100
2θ 37.25, intensity 68
2θ 17.37, intensity 59
2θ 52.15, intensity 51
2θ 35.15, intensity 40
2θ 25.39, intensity 33
2θ 39.95, intensity 29
2θ 41.37, intensity 27

***

(12)
Zn2Si2As3P: computed powder diffraction line list (Cu Kα (λ = 1.5418 Å)), based on DFT lattice parameters and positions (PBE).
Peak positions follow from Bragg's law for the DFT cell and can differ from measured ones.

Structural model:
Cell lengths 6.7320, 6.7320, 5.5976 Å; angles 114.21, 114.21, 49.37 degrees
Fractional positions:
Zn: 0.1209 0.1209 0.3614
Zn: 0.8791 0.8791 0.6386
Si: 0.3923 0.3618 0.1209
Si: 0.6382 0.6077 0.8791
As: 0.0105 0.4895 0.7611
As: 0.2738 0.7262 0.5000
As: 0.5105 0.9895 0.2389
P: 0.7396 0.2604 0.0000

The 8 most intense peaks (2θ = 10–80°), by intensity:
2θ 27.87, intensity 100
2θ 27.74, intensity 92
2θ 46.35, intensity 66
2θ 45.74, intensity 46
2θ 54.28, intensity 27
2θ 46.65, intensity 22
2θ 17.75, intensity 18
2θ 54.36, intensity 14

***

(13)
Sm2AsP: computed powder diffraction line list (Cu Kα (λ = 1.5418 Å)), based on DFT lattice parameters and positions (PBE).
Peak positions follow from Bragg's law for the DFT cell and can differ from measured ones.

Structural model:
Cell lengths 9.3032, 9.3032, 7.2044 Å; angles 104.97, 104.97, 126.83 degrees
Fractional positions:
Sm: 0.0597 0.4347 0.7444
Sm: 0.1791 0.3041 0.2444
Sm: 0.3041 0.1791 0.7444
Sm: 0.4347 0.0597 0.2444
Sm: 0.5653 0.9403 0.7556
Sm: 0.6959 0.8209 0.2556
Sm: 0.8209 0.6959 0.7556
Sm: 0.9403 0.5653 0.2556
As: 0.3132 0.6868 0.2500
As: 0.4382 0.5618 0.7500
As: 0.5618 0.4382 0.2500
As: 0.6868 0.3132 0.7500
P: 0.0630 0.9370 0.2500
P: 0.1880 0.8120 0.7500
P: 0.8120 0.1880 0.2500
P: 0.9370 0.0630 0.7500

The 8 most intense peaks (2θ = 10–80°), by intensity:
2θ 30.38, intensity 100
2θ 43.50, intensity 74
2θ 26.23, intensity 42
2θ 71.73, intensity 33
2θ 53.98, intensity 26
2θ 51.51, intensity 20
2θ 79.84, intensity 18
2θ 63.20, intensity 12